Diffraction record for NaAcIn2Pd4. The X-ray powder pattern is simulated, not measured: it uses a cell relaxed with PBE and CuKα.
Peak positions follow from Bragg's law for the DFT cell and can differ from measured ones.

Atomic structure:
a = 4.6681 Å, b = 4.6681 Å, c = 26.9351 Å
α = 90.00°, β = 90.00°, γ = 120.00°
Space group R-3m (No. 166, hexagonal axes)
Symmetry-distinct sites (fractional):
Na  0.0000  0.0000  0.0000 x3
Ac  0.0000  0.0000  0.5000 x3
In  0.0000  0.0000  0.2653 x6
Pd  0.0000  0.0000  0.1012 x6
Pd  0.0000  0.0000  0.3803 x6

Largest 8 diffraction maxima, in order of falling intensity, 2θ from 10° to 80°:
38.6 deg, I 1000
34.7 deg, I 794
27.6 deg, I 344
52.8 deg, I 236
49.5 deg, I 227
67.3 deg, I 226
22.2 deg, I 198
40.2 deg, I 182


Diffraction record for AcAg2GeS4. The X-ray powder pattern is simulated, not measured: it uses a cell relaxed with PBE and CuKα.
Peak positions follow from Bragg's law for the DFT cell and can differ from measured ones.

Atomic structure:
a = 7.9745 Å, b = 8.1571 Å, c = 8.2856 Å
α = 104.19°, β = 104.35°, γ = 113.31°
Space group P1 (No. 1)
Symmetry-distinct sites (fractional):
Ac  0.0000  0.0000  0.0000 x1
Ac  0.4994  0.4746  0.5061 x1
Ag  0.0378  0.5148  0.3715 x1
Ag  0.0701  0.5115  0.9230 x1
Ag  0.1066  0.9220  0.5230 x1
Ag  0.3965  0.8150  0.3169 x1
Ge  0.4478  0.8577  0.8312 x1
Ge  0.5716  0.5481  0.0339 x1
S  0.2106  0.4335  0.1758 x1
S  0.2267  0.5388  0.6901 x1
S  0.2787  0.0582  0.3329 x1
S  0.3195  0.0561  0.8524 x1
S  0.6381  0.9003  0.1101 x1
S  0.6424  0.9164  0.6729 x1
S  0.7804  0.6149  0.3348 x1
S  0.7892  0.5755  0.8666 x1

Largest 8 diffraction maxima, in order of falling intensity, 2θ from 10° to 80°:
27.6 deg, I 1000
26.4 deg, I 982
25.8 deg, I 908
28.0 deg, I 773
13.9 deg, I 555
12.8 deg, I 525
43.7 deg, I 517
13.1 deg, I 481


Diffraction record for LiHf. The X-ray powder pattern is simulated, not measured: it uses a cell relaxed with PBE and CuKα.
Peak positions follow from Bragg's law for the DFT cell and can differ from measured ones.

Atomic structure:
a = 5.1475 Å, b = 14.5205 Å, c = 3.0773 Å
α = 90.00°, β = 90.00°, γ = 90.00°
Space group Cmmm (No. 65)
Symmetry-distinct sites (fractional):
Li  0.0000  0.0000  0.0000 x2
Li  0.0000  0.1431  0.5000 x4
Hf  0.0000  0.3246  0.0000 x4
Hf  0.0000  0.5000  0.5000 x2

Largest 8 diffraction maxima, in order of falling intensity, 2θ from 10° to 80°:
18.3 deg, I 1000
38.8 deg, I 844
31.6 deg, I 360
35.5 deg, I 336
34.9 deg, I 289
47.7 deg, I 251
37.2 deg, I 225
65.2 deg, I 187